Entry 1:
For GdHoCd4, a DFT-relaxed cell (GGA-PBE, OQMD) gives the simulated X-ray powder pattern in this record (a wavelength of 1.5418 Å).

a b c (Å): 4.9478 6.8769 8.5565
angles (deg): 90.00 90.00 90.00
Space group Imm2 (No. 44)
Unique sites:
Gd 0.0000 0.0000 0.0000
Ho 0.0000 0.5000 0.9970
Cd 0.0000 0.2460 0.6651
Cd 0.0000 0.2517 0.3317

Largest 10 diffraction maxima, sorted by position, 15° ≤ 2θ ≤ 90°:
Position (°2θ)	I/Imax	hkl
33.42	100	1 2 1
36.34	80	2 0 0
50.20	31	2 2 2
53.28	9	0 4 0
63.54	30	3 2 1
65.39	14	3 0 3
66.21	27	2 4 0
86.73	9	4 2 2
88.26	6	1 6 1
89.18	12	3 4 3

---

Entry 2:
For Gd2HoCd4In2, a DFT-relaxed cell (GGA-PBE, OQMD) gives the simulated X-ray powder pattern in this record (a wavelength of 1.5418 Å).

a b c (Å): 4.6219 12.9603 7.5276
angles (deg): 90.00 90.00 90.00
Space group Amm2 (No. 38)
Unique sites:
Gd 0.0000 0.2131 0.0000
Ho 0.0000 0.0000 0.3602
Cd 0.0000 0.0000 0.7835
Cd 0.5000 0.0000 0.0280
Cd 0.5000 0.1214 0.6649
In 0.5000 0.1657 0.2867

Largest 10 diffraction maxima, sorted by position, 15° ≤ 2θ ≤ 90°:
Position (°2θ)	I/Imax	hkl
30.69	100	1 3 1
33.68	90	1 2 2
33.78	46	1 4 0
36.47	19	0 1 3
36.63	36	0 4 2
38.97	43	2 0 0
41.65	31	0 3 3
54.49	31	2 1 3
54.61	19	2 5 1
67.25	18	3 4 0

---

Entry 3:
For Gd2HoTl2Cd4, a DFT-relaxed cell (GGA-PBE, OQMD) gives the simulated X-ray powder pattern in this record (a wavelength of 1.5418 Å).

a b c (Å): 4.5823 13.0894 7.6048
angles (deg): 90.00 90.00 90.00
Space group Amm2 (No. 38)
Unique sites:
Gd 0.0000 0.2130 0.0000
Ho 0.0000 0.0000 0.3605
Tl 0.5000 0.1656 0.2868
Cd 0.0000 0.0000 0.7835
Cd 0.5000 0.0000 0.0250
Cd 0.5000 0.1199 0.6664

Largest 10 diffraction maxima, sorted by position, 15° ≤ 2θ ≤ 90°:
Position (°2θ)	I/Imax	hkl
30.61	100	1 3 1
33.55	84	1 2 2
33.65	43	1 4 0
36.09	18	0 1 3
36.25	32	0 4 2
39.32	41	2 0 0
41.22	30	0 3 3
41.41	31	0 6 0
54.55	20	2 4 2
65.31	24	1 7 3